CaO2: computed X-ray diffraction stick pattern (Cu Kα (weighted mean of Kα1 and Kα2)), based on a structure optimized by DFT (PBE).
Neutral-atom scattering factors, no anomalous dispersion.

The 10 most intense peaks (15° ≤ 2θ ≤ 90°), by angle:
two_theta  I/Imax
26.77  33
28.41  100
29.47  72
43.65  84
47.22  63
47.50  16
49.72  23
50.19  19
50.36  26
56.75  24

abc: 6.9827 3.6236 3.6894
angles: 90.00 115.49 90.00
Space group C2/m (No. 12)
One atom of each set of equivalent atoms:
Ca1 0.0000 0.0000 0.0000 [2 per cell]
O1 0.2482 0.5000 0.2989 [4 per cell]

---

BaEuZr4O12: computed X-ray diffraction stick pattern (Cu Kα (weighted mean of Kα1 and Kα2)), based on a structure optimized by DFT (PBE).
Neutral-atom scattering factors, no anomalous dispersion.

The 10 most intense peaks (15° ≤ 2θ ≤ 90°), by angle:
two_theta  I/Imax
18.56  53
30.54  100
35.98  30
43.71  24
43.80  12
47.90  13
54.28  42
63.55  14
88.28  11
88.41  11

abc: 8.2672 8.2921 8.2769
angles: 90.00 90.00 90.00
Space group Amm2 (No. 38)
One atom of each set of equivalent atoms:
Ba1 0.0000 0.0000 0.0000 [2 per cell]
Eu1 0.5000 0.0000 0.4847 [2 per cell]
Zr1 0.2525 0.2481 0.7437 [8 per cell]
O1 0.0000 0.2279 0.7436 [4 per cell]
O2 0.2364 0.0000 0.2702 [4 per cell]
O3 0.2535 0.2308 0.9936 [8 per cell]
O4 0.2889 0.0000 0.7068 [4 per cell]
O5 0.5000 0.2181 0.2555 [4 per cell]

---

Cs2Mn3S4: computed X-ray diffraction stick pattern (Cu Kα (weighted mean of Kα1 and Kα2)), based on a structure optimized by DFT (PBE).
Neutral-atom scattering factors, no anomalous dispersion.

The 10 most intense peaks (15° ≤ 2θ ≤ 90°), by angle:
two_theta  I/Imax
21.92  44
25.39  24
28.43  100
32.51  63
38.48  19
42.70  31
49.45  39
50.34  18
52.10  38
83.11  16

abc: 5.9919 14.0335 5.9865
angles: 90.00 90.00 90.00
Space group C222 (No. 21)
One atom of each set of equivalent atoms:
Cs1 0.2500 0.2500 0.2465 [4 per cell]
Mn1 0.0000 0.0000 0.0000 [2 per cell]
Mn2 0.0000 0.0000 0.5000 [2 per cell]
Mn3 0.0000 0.5000 0.5000 [2 per cell]
S1 0.2408 0.0925 0.7399 [8 per cell]

---

Li6AsS5I: computed X-ray diffraction stick pattern (Cu Kα (weighted mean of Kα1 and Kα2)), based on a structure optimized by DFT (PBE).
Neutral-atom scattering factors, no anomalous dispersion.

The 10 most intense peaks (15° ≤ 2θ ≤ 90°), by angle:
two_theta  I/Imax
17.05  40
17.19  79
23.98  35
24.15  34
24.41  100
24.67  32
28.84  24
29.53  24
29.75  23
50.03  35

abc: 7.2182 7.2905 7.2956
angles: 61.18 61.05 60.39
Space group P1 (No. 1)
One atom of each set of equivalent atoms:
Li1 0.0000 0.0000 0.0000 [1 per cell]
Li2 0.0007 0.6037 0.3914 [1 per cell]
Li3 0.1388 0.9851 0.3965 [1 per cell]
Li4 0.5121 0.6205 0.8615 [1 per cell]
Li5 0.5158 0.4549 0.3830 [1 per cell]
Li6 0.5238 0.9864 0.0000 [1 per cell]
As1 0.0460 0.5108 0.9109 [1 per cell]
S1 0.2901 0.7663 0.1638 [1 per cell]
S2 0.4148 0.3881 0.7858 [1 per cell]
S3 0.9178 0.3929 0.7848 [1 per cell]
S4 0.9243 0.3905 0.2716 [1 per cell]
S5 0.9238 0.8757 0.7898 [1 per cell]
I1 0.5598 0.9980 0.3930 [1 per cell]

---

CeGe2Ir2: computed X-ray diffraction stick pattern (Cu Kα (weighted mean of Kα1 and Kα2)), based on a structure optimized by DFT (PBE).
Neutral-atom scattering factors, no anomalous dispersion.

The 10 most intense peaks (15° ≤ 2θ ≤ 90°), by angle:
two_theta  I/Imax
30.93  30
33.69  59
34.55  100
42.41  73
46.61  38
49.47  25
55.22  29
61.52  24
67.16  20
72.52  23

abc: 4.2631 4.2631 10.2156
angles: 90.00 90.00 90.00
Space group P4/nmm (No. 129, origin choice 2)
One atom of each set of equivalent atoms:
Ce1 0.2500 0.2500 0.2435 [2 per cell]
Ge1 0.2500 0.2500 0.6316 [2 per cell]
Ge2 0.2500 0.7500 0.0000 [2 per cell]
Ir1 0.2500 0.2500 0.8715 [2 per cell]
Ir2 0.2500 0.7500 0.5000 [2 per cell]

---

Sm3CuSnS7: computed X-ray diffraction stick pattern (Cu Kα (weighted mean of Kα1 and Kα2)), based on a structure optimized by DFT (PBE).
Neutral-atom scattering factors, no anomalous dispersion.

The 10 most intense peaks (15° ≤ 2θ ≤ 90°), by angle:
two_theta  I/Imax
20.48  17
25.11  100
28.98  23
30.83  20
35.75  25
35.86  53
40.19  37
46.75  25
48.01  22
49.08  20

abc: 10.0161 10.0161 6.1616
angles: 90.00 90.00 120.00
Space group P6_3 (No. 173)
One atom of each set of equivalent atoms:
Sm1 0.1416 0.7836 0.0000 [6 per cell]
Cu1 0.0000 0.0000 0.4290 [2 per cell]
Sn1 0.3333 0.6667 0.5696 [2 per cell]
S1 0.0856 0.5166 0.7457 [6 per cell]
S2 0.1055 0.8481 0.4446 [6 per cell]
S3 0.3333 0.6667 0.1824 [2 per cell]